Diffraction record for LiNi2O4. The powder XRD pattern is calculated, not measured: it uses a structure optimized by DFT (GGA+U) and Cu Kα, 1.54184 Å.
Kinematic intensities with the Lorentz-polarization factor, no thermal factor.

Structure:
```
data_LiNi2O4
_cell_length_a 8.113
_cell_length_b 8.113
_cell_length_c 8.113
_cell_angle_alpha 90.00
_cell_angle_beta 90.00
_cell_angle_gamma 90.00
_space_group_name_H-M_alt 'P 43 3 2'
_space_group_IT_number 212
_space_group_name_Hall 'P 4acd 2ab 3'
loop_
_atom_site_label
_atom_site_fract_x
_atom_site_fract_y
_atom_site_fract_z
Li1 0.005 0.005 0.005
Ni1 0.116 0.134 0.625
Ni2 0.125 0.875 0.375
O1 0.096 0.127 0.394
O2 0.117 0.617 0.883
```

The 10 most intense peaks (5 to 70 degrees two-theta), low angle first:
d 5.737, intensity 2; d 4.684, intensity 100; d 2.446, intensity 48; d 2.342, intensity 15; d 2.028, intensity 50; d 1.968, intensity 2; d 1.861, intensity 11; d 1.561, intensity 19; d 1.434, intensity 29; d 1.371, intensity 14